1.
For SrH9ClO5, a GGA-PBE-relaxed structure gives the theoretical powder X-ray diffraction pattern in this record (Cu Kα, 1.54184 Å).
Peak positions follow from Bragg's law for the DFT cell and can differ from measured ones.

The 10 most intense peaks (5 to 70 degrees two-theta), in order of rising 2θ:
11.93°, I = 100; 16.51°, I = 38; 22.52°, I = 28; 24.19°, I = 25; 28.66°, I = 19; 29.21°, I = 32; 33.32°, I = 22; 35.57°, I = 19; 38.78°, I = 24; 44.55°, I = 23

Crystal structure
```
SrH9ClO5
1.0
5.973 0.000 0.000
-0.015 7.421 0.000
-2.383 -0.095 7.359
Sr H Cl O
2 18 2 10
Direct
0.174 0.051 0.285
0.826 0.949 0.715
0.107 0.305 0.797
0.122 0.709 0.516
0.159 0.709 0.043
0.301 0.192 0.949
0.301 0.821 0.675
0.320 0.814 0.947
0.358 0.182 0.685
0.441 0.330 0.173
0.466 0.708 0.391
0.534 0.292 0.609
0.559 0.670 0.827
0.642 0.818 0.315
0.680 0.186 0.053
0.699 0.179 0.325
0.699 0.808 0.051
0.841 0.291 0.957
0.878 0.291 0.484
0.893 0.695 0.203
0.172 0.504 0.284
0.828 0.496 0.716
0.149 0.831 0.568
0.181 0.829 0.996
0.191 0.188 0.816
0.455 0.174 0.599
0.471 0.203 0.149
0.529 0.797 0.851
0.545 0.826 0.401
0.809 0.812 0.184
0.819 0.171 0.004
0.851 0.169 0.432
```

2.
For SrAc2TmTe5, a GGA-PBE-relaxed structure gives the theoretical powder X-ray diffraction pattern in this record (Cu Kα, 1.54184 Å).
Peak positions follow from Bragg's law for the DFT cell and can differ from measured ones.

The 10 most intense peaks (5 to 70 degrees two-theta), in order of rising 2θ:
7.36°, I = 100; 22.94°, I = 94; 27.38°, I = 40; 27.59°, I = 53; 29.76°, I = 37; 32.14°, I = 54; 32.67°, I = 100; 43.27°, I = 32; 44.77°, I = 49; 46.87°, I = 37

Crystal structure
```
SrAc2TmTe5
1.0
5.483 0.000 0.000
0.000 5.483 0.000
0.000 0.000 12.009
Sr Ac Tm Te
1 2 1 5
Direct
0.000 0.000 0.000
0.500 0.500 0.300
0.500 0.500 0.700
0.000 0.000 0.500
0.000 0.000 0.254
0.000 0.000 0.746
0.000 0.500 0.500
0.500 0.000 0.500
0.500 0.500 0.000
```

3.
For Li4SnP6O18, a GGA-PBE-relaxed structure gives the theoretical powder X-ray diffraction pattern in this record (Cu Kα, 1.54184 Å).
Peak positions follow from Bragg's law for the DFT cell and can differ from measured ones.

The 10 most intense peaks (5 to 70 degrees two-theta), in order of rising 2θ:
13.45°, I = 97; 14.24°, I = 64; 15.57°, I = 58; 18.43°, I = 60; 21.38°, I = 76; 24.21°, I = 65; 24.56°, I = 100; 25.41°, I = 65; 28.65°, I = 87; 30.82°, I = 85

Crystal structure
```
Li4SnP6O18
1.0
7.458 0.000 0.000
-1.191 7.440 0.000
-2.855 -2.726 6.486
Li Sn P O
4 1 6 18
Direct
0.000 0.000 0.000
0.089 0.302 0.450
0.226 0.610 0.888
0.345 0.019 0.312
0.543 0.206 0.854
0.041 0.938 0.566
0.365 0.397 0.217
0.481 0.669 0.627
0.706 0.930 0.209
0.715 0.404 0.558
0.942 0.668 0.159
0.022 0.728 0.406
0.071 0.927 0.766
0.084 0.798 0.119
0.197 0.093 0.562
0.229 0.234 0.227
0.326 0.418 0.018
0.337 0.553 0.675
0.388 0.605 0.380
0.486 0.903 0.148
0.550 0.888 0.721
0.591 0.237 0.579
0.598 0.385 0.321
0.688 0.606 0.681
0.728 0.719 0.098
0.817 0.958 0.451
0.832 0.084 0.178
0.891 0.452 0.057
0.934 0.429 0.616
```

4.
For Ba5Na4Sr2, a GGA-PBE-relaxed structure gives the theoretical powder X-ray diffraction pattern in this record (Cu Kα, 1.54184 Å).
Peak positions follow from Bragg's law for the DFT cell and can differ from measured ones.

The 10 most intense peaks (5 to 70 degrees two-theta), in order of rising 2θ:
16.57°, I = 47; 21.61°, I = 84; 22.74°, I = 32; 24.61°, I = 42; 24.92°, I = 47; 26.97°, I = 34; 27.34°, I = 100; 29.70°, I = 38; 32.98°, I = 34; 33.25°, I = 50

Crystal structure
```
Ba5Na4Sr2
1.0
10.795 0.000 0.000
0.000 4.112 0.000
-1.577 0.000 13.201
Ba Na Sr
5 4 2
Direct
0.000 0.000 0.000
0.033 0.000 0.328
0.341 0.000 0.861
0.659 0.000 0.139
0.967 0.000 0.672
0.262 0.500 0.571
0.303 0.500 0.125
0.697 0.500 0.875
0.738 0.500 0.429
0.418 0.000 0.359
0.582 0.000 0.641
```

5.
For HoCoSi3Ru, a GGA-PBE-relaxed structure gives the theoretical powder X-ray diffraction pattern in this record (Cu Kα, 1.54184 Å).
Peak positions follow from Bragg's law for the DFT cell and can differ from measured ones.

The 10 most intense peaks (5 to 70 degrees two-theta), in order of rising 2θ:
22.16°, I = 18; 24.56°, I = 59; 32.17°, I = 100; 32.77°, I = 21; 33.42°, I = 27; 41.90°, I = 58; 48.27°, I = 32; 50.35°, I = 16; 54.20°, I = 20; 58.94°, I = 17

Crystal structure
```
HoCoSi3Ru
1.0
3.625 -5.465 0.000
3.625 5.465 0.000
0.000 0.000 5.363
Ho Co Si Ru
2 2 6 2
Direct
0.239 0.761 0.750
0.761 0.239 0.250
0.043 0.957 0.250
0.957 0.043 0.750
0.233 0.767 0.250
0.244 0.244 0.000
0.244 0.244 0.500
0.756 0.756 0.000
0.756 0.756 0.500
0.767 0.233 0.750
0.434 0.566 0.250
0.566 0.434 0.750
```

6.
For Pm2Sn3Hg2, a GGA-PBE-relaxed structure gives the theoretical powder X-ray diffraction pattern in this record (Cu Kα, 1.54184 Å).
Peak positions follow from Bragg's law for the DFT cell and can differ from measured ones.

The 10 most intense peaks (5 to 70 degrees two-theta), in order of rising 2θ:
14.94°, I = 20; 32.17°, I = 100; 32.93°, I = 62; 35.37°, I = 24; 36.87°, I = 38; 37.94°, I = 35; 42.44°, I = 20; 54.08°, I = 20; 65.65°, I = 27; 68.54°, I = 18

Crystal structure
```
Pm2Sn3Hg2
1.0
4.876 0.000 0.000
0.000 3.309 0.000
-2.453 0.000 11.859
Pm Sn Hg
2 3 2
Direct
0.079 0.000 0.158
0.921 0.000 0.842
0.209 0.500 0.417
0.500 0.500 0.000
0.791 0.500 0.583
0.364 0.500 0.729
0.636 0.500 0.271
```

7.
For NiHgCl4, a GGA-PBE-relaxed structure gives the theoretical powder X-ray diffraction pattern in this record (Cu Kα, 1.54184 Å).
Peak positions follow from Bragg's law for the DFT cell and can differ from measured ones.

The 10 most intense peaks (5 to 70 degrees two-theta), in order of rising 2θ:
13.83°, I = 100; 14.85°, I = 13; 25.13°, I = 15; 27.67°, I = 18; 29.96°, I = 21; 31.24°, I = 45; 38.49°, I = 14; 39.97°, I = 23; 47.95°, I = 13; 51.58°, I = 13

Crystal structure
```
NiHgCl4
1.0
7.129 -1.844 0.000
7.129 1.844 0.000
-2.917 0.000 5.965
Ni Hg Cl
1 1 4
Direct
0.000 0.000 0.000
0.500 0.500 0.500
0.109 0.109 0.395
0.397 0.397 0.044
0.603 0.603 0.956
0.891 0.891 0.605
```

Please write out number 6 again, unchanged.
For Pm2Sn3Hg2, a GGA-PBE-relaxed structure gives the theoretical powder X-ray diffraction pattern in this record (Cu Kα, 1.54184 Å).
Peak positions follow from Bragg's law for the DFT cell and can differ from measured ones.

The 10 most intense peaks (5 to 70 degrees two-theta), in order of rising 2θ:
14.94°, I = 20; 32.17°, I = 100; 32.93°, I = 62; 35.37°, I = 24; 36.87°, I = 38; 37.94°, I = 35; 42.44°, I = 20; 54.08°, I = 20; 65.65°, I = 27; 68.54°, I = 18

Crystal structure
```
Pm2Sn3Hg2
1.0
4.876 0.000 0.000
0.000 3.309 0.000
-2.453 0.000 11.859
Pm Sn Hg
2 3 2
Direct
0.079 0.000 0.158
0.921 0.000 0.842
0.209 0.500 0.417
0.500 0.500 0.000
0.791 0.500 0.583
0.364 0.500 0.729
0.636 0.500 0.271
```